(1)
Diffraction record for Sm8Er3Tm2. The powder X-ray diffraction pattern is theoretical, not measured: it uses a structure optimized by DFT (GGA-PBE) and CuKα.
Kinematic intensities with the Lorentz-polarization factor, no thermal factor.

The 8 most intense peaks (10° ≤ 2θ ≤ 90°), by angle:
2θ/deg	I_rel
24.8	23
29.6	36
31.0	33
31.6	43
33.3	100
40.5	13
57.3	21
67.2	13

Atomic structure:
a = 10.761 Å, b = 10.761 Å, c = 5.669 Å
α = 90.02°, β = 90.02°, γ = 41.90°
Sites, in units of the cell vectors:
Sm1 0.100 0.687 0.000
Sm2 0.172 0.172 0.501
Sm3 0.313 0.900 0.000
Sm4 0.368 0.368 0.500
Sm5 0.632 0.632 0.500
Sm6 0.687 0.100 0.000
Sm7 0.828 0.828 0.499
Sm8 0.900 0.313 0.000
Er1 0.214 0.786 0.500
Er2 0.500 0.500 0.000
Er3 0.786 0.214 0.500
Tm1 0.260 0.260 0.001
Tm2 0.740 0.740 0.999

(2)
Diffraction record for Sm2Er6Tm5. The powder X-ray diffraction pattern is theoretical, not measured: it uses a structure optimized by DFT (GGA-PBE) and CuKα.
Kinematic intensities with the Lorentz-polarization factor, no thermal factor.

The 8 most intense peaks (10° ≤ 2θ ≤ 90°), by angle:
2θ/deg	I_rel
31.3	53
31.9	45
32.3	38
32.4	60
32.6	100
34.7	36
37.0	29
62.2	33

Atomic structure:
a = 11.562 Å, b = 19.939 Å, c = 3.544 Å
α = 90.00°, β = 90.00°, γ = 90.00°
Sites, in units of the cell vectors:
Sm1 0.165 0.214 0.000
Sm2 0.335 0.714 0.000
Sm3 0.665 0.286 0.000
Sm4 0.835 0.786 0.000
Er1 0.058 0.921 0.000
Er2 0.082 0.633 0.000
Er3 0.176 0.371 0.500
Er4 0.324 0.871 0.500
Er5 0.418 0.133 0.000
Er6 0.442 0.421 0.000
Er7 0.558 0.579 0.000
Er8 0.582 0.867 0.000
Er9 0.676 0.129 0.500
Er10 0.824 0.629 0.500
Er11 0.918 0.367 0.000
Er12 0.942 0.079 0.000
Tm1 0.000 0.500 0.500
Tm2 0.094 0.776 0.500
Tm3 0.199 0.050 0.500
Tm4 0.301 0.550 0.500
Tm5 0.406 0.276 0.500
Tm6 0.500 0.000 0.500
Tm7 0.594 0.724 0.500
Tm8 0.699 0.450 0.500
Tm9 0.801 0.950 0.500
Tm10 0.906 0.224 0.500

(3)
Diffraction record for SmEr3Tm6. The powder X-ray diffraction pattern is theoretical, not measured: it uses a structure optimized by DFT (GGA-PBE) and CuKα.
Kinematic intensities with the Lorentz-polarization factor, no thermal factor.

The 8 most intense peaks (10° ≤ 2θ ≤ 90°), by angle:
2θ/deg	I_rel
28.5	28
29.1	82
30.8	41
32.1	88
32.2	100
33.6	27
34.4	31
35.0	51

Atomic structure:
a = 10.818 Å, b = 10.818 Å, c = 6.113 Å
α = 90.00°, β = 90.00°, γ = 119.71°
Sites, in units of the cell vectors:
Sm1 0.209 0.791 0.500
Sm2 0.791 0.209 0.000
Er1 0.066 0.282 0.704
Er2 0.282 0.066 0.204
Er3 0.391 0.609 0.589
Er4 0.609 0.391 0.089
Er5 0.718 0.934 0.704
Er6 0.934 0.718 0.204
Tm1 0.035 0.457 0.299
Tm2 0.048 0.952 0.743
Tm3 0.288 0.382 0.134
Tm4 0.288 0.712 0.020
Tm5 0.382 0.288 0.634
Tm6 0.457 0.035 0.799
Tm7 0.543 0.965 0.299
Tm8 0.618 0.712 0.134
Tm9 0.712 0.288 0.520
Tm10 0.712 0.618 0.634
Tm11 0.952 0.048 0.243
Tm12 0.965 0.543 0.799

(4)
Diffraction record for Sm2Er3Tm9. The powder X-ray diffraction pattern is theoretical, not measured: it uses a structure optimized by DFT (GGA-PBE) and CuKα.
Kinematic intensities with the Lorentz-polarization factor, no thermal factor.

The 8 most intense peaks (10° ≤ 2θ ≤ 90°), by angle:
2θ/deg	I_rel
30.5	48
31.8	52
32.0	88
32.3	77
32.7	49
32.7	32
33.0	100
33.6	32

Atomic structure:
a = 6.326 Å, b = 8.314 Å, c = 8.797 Å
α = 87.06°, β = 82.78°, γ = 70.85°
Sites, in units of the cell vectors:
Sm1 0.000 0.000 0.000
Sm2 0.153 0.645 0.197
Er1 0.472 0.030 0.787
Er2 0.629 0.348 0.167
Er3 0.803 0.549 0.449
Tm1 0.087 0.383 0.946
Tm2 0.192 0.175 0.282
Tm3 0.313 0.824 0.499
Tm4 0.348 0.391 0.542
Tm5 0.509 0.580 0.826
Tm6 0.605 0.787 0.120
Tm7 0.757 0.984 0.411
Tm8 0.923 0.197 0.663
Tm9 0.953 0.734 0.746

(5)
Diffraction record for Sm6YEr2Tm. The powder X-ray diffraction pattern is theoretical, not measured: it uses a structure optimized by DFT (GGA-PBE) and CuKα.
Kinematic intensities with the Lorentz-polarization factor, no thermal factor.

The 8 most intense peaks (10° ≤ 2θ ≤ 90°), by angle:
2θ/deg	I_rel
28.4	57
30.4	98
30.6	100
31.0	65
31.2	95
31.4	58
32.1	33
33.8	80

Atomic structure:
a = 8.880 Å, b = 8.880 Å, c = 9.564 Å
α = 93.66°, β = 93.66°, γ = 117.99°
Sites, in units of the cell vectors:
Sm1 0.013 0.565 0.187
Sm2 0.122 0.759 0.554
Sm3 0.241 0.878 0.946
Sm4 0.290 0.506 0.381
Sm5 0.435 0.987 0.313
Sm6 0.494 0.710 0.119
Sm7 0.506 0.290 0.881
Sm8 0.565 0.013 0.687
Sm9 0.710 0.494 0.619
Sm10 0.759 0.122 0.054
Sm11 0.878 0.241 0.446
Sm12 0.987 0.435 0.813
Y1 0.025 0.975 0.250
Y2 0.975 0.025 0.750
Er1 0.201 0.304 0.045
Er2 0.304 0.201 0.545
Er3 0.696 0.799 0.455
Er4 0.799 0.696 0.955
Tm1 0.411 0.589 0.750
Tm2 0.589 0.411 0.250

(6)
Diffraction record for Sm2Y4Er2Tm. The powder X-ray diffraction pattern is theoretical, not measured: it uses a structure optimized by DFT (GGA-PBE) and CuKα.
Kinematic intensities with the Lorentz-polarization factor, no thermal factor.

The 8 most intense peaks (10° ≤ 2θ ≤ 90°), by angle:
2θ/deg	I_rel
28.9	47
31.2	47
31.9	100
33.6	85
40.3	21
50.8	36
54.9	22
60.9	41

Atomic structure:
a = 9.509 Å, b = 9.509 Å, c = 9.547 Å
α = 115.31°, β = 115.31°, γ = 21.79°
Sites, in units of the cell vectors:
Sm1 0.149 0.149 0.167
Sm2 0.851 0.851 0.833
Y1 0.185 0.185 0.831
Y2 0.482 0.482 0.169
Y3 0.518 0.518 0.831
Y4 0.815 0.815 0.169
Er1 0.334 0.334 0.500
Er2 0.666 0.666 0.500
Tm1 0.000 0.000 0.500

(7)
Diffraction record for SmYEr6Tm2. The powder X-ray diffraction pattern is theoretical, not measured: it uses a structure optimized by DFT (GGA-PBE) and CuKα.
Kinematic intensities with the Lorentz-polarization factor, no thermal factor.

The 8 most intense peaks (10° ≤ 2θ ≤ 90°), by angle:
2θ/deg	I_rel
28.5	14
28.8	39
31.0	99
31.6	100
32.0	32
32.7	25
34.4	42
54.7	16

Atomic structure:
a = 8.712 Å, b = 8.712 Å, c = 9.442 Å
α = 93.53°, β = 93.53°, γ = 117.80°
Sites, in units of the cell vectors:
Sm1 0.027 0.973 0.750
Sm2 0.973 0.027 0.250
Y1 0.409 0.591 0.250
Y2 0.591 0.409 0.750
Er1 0.020 0.567 0.682
Er2 0.123 0.752 0.057
Er3 0.248 0.877 0.443
Er4 0.291 0.509 0.881
Er5 0.433 0.980 0.818
Er6 0.491 0.709 0.619
Er7 0.509 0.291 0.381
Er8 0.567 0.020 0.182
Er9 0.709 0.491 0.119
Er10 0.752 0.123 0.557
Er11 0.877 0.248 0.943
Er12 0.980 0.433 0.318
Tm1 0.198 0.304 0.546
Tm2 0.304 0.198 0.046
Tm3 0.696 0.802 0.954
Tm4 0.802 0.696 0.454

(8)
Diffraction record for Sm2Y2ErTm2. The powder X-ray diffraction pattern is theoretical, not measured: it uses a structure optimized by DFT (GGA-PBE) and CuKα.
Kinematic intensities with the Lorentz-polarization factor, no thermal factor.

The 8 most intense peaks (10° ≤ 2θ ≤ 90°), by angle:
2θ/deg	I_rel
28.7	55
30.8	71
31.0	84
32.6	100
33.2	56
35.5	84
51.8	39
61.9	42

Atomic structure:
a = 6.090 Å, b = 6.090 Å, c = 11.736 Å
α = 108.08°, β = 108.08°, γ = 33.39°
Sites, in units of the cell vectors:
Sm1 0.172 0.172 0.085
Sm2 0.828 0.828 0.915
Y1 0.049 0.049 0.770
Y2 0.951 0.951 0.230
Er1 0.500 0.500 0.500
Tm1 0.272 0.272 0.635
Tm2 0.728 0.728 0.365

(9)
Diffraction record for Sm5Y3Er4. The powder X-ray diffraction pattern is theoretical, not measured: it uses a structure optimized by DFT (GGA-PBE) and CuKα.
Kinematic intensities with the Lorentz-polarization factor, no thermal factor.

The 8 most intense peaks (10° ≤ 2θ ≤ 90°), by angle:
2θ/deg	I_rel
26.4	22
29.1	69
30.7	100
31.3	60
31.4	82
32.0	49
45.0	49
56.3	21

Atomic structure:
a = 9.544 Å, b = 9.544 Å, c = 8.710 Å
α = 116.79°, β = 116.79°, γ = 34.71°
Sites, in units of the cell vectors:
Sm1 0.000 0.000 0.000
Sm2 0.341 0.341 0.111
Sm3 0.389 0.389 0.571
Sm4 0.611 0.611 0.429
Sm5 0.659 0.659 0.889
Y1 0.183 0.183 0.216
Y2 0.500 0.500 0.000
Y3 0.817 0.817 0.784
Er1 0.030 0.030 0.697
Er2 0.202 0.202 0.649
Er3 0.798 0.798 0.351
Er4 0.970 0.970 0.303

(10)
Diffraction record for SmY2Er8. The powder X-ray diffraction pattern is theoretical, not measured: it uses a structure optimized by DFT (GGA-PBE) and CuKα.
Kinematic intensities with the Lorentz-polarization factor, no thermal factor.

The 8 most intense peaks (10° ≤ 2θ ≤ 90°), by angle:
2θ/deg	I_rel
30.0	27
32.4	100
32.6	13
32.7	34
33.9	31
47.8	24
58.2	19
64.8	13

Atomic structure:
a = 9.305 Å, b = 9.305 Å, c = 9.305 Å
α = 145.80°, β = 128.80°, γ = 63.01°
Sites, in units of the cell vectors:
Sm1 0.000 0.000 0.000
Y1 0.299 0.299 0.000
Y2 0.701 0.701 0.000
Er1 0.155 0.862 0.293
Er2 0.163 0.663 0.500
Er3 0.294 0.500 0.794
Er4 0.431 0.138 0.293
Er5 0.569 0.862 0.707
Er6 0.706 0.500 0.206
Er7 0.837 0.337 0.500
Er8 0.845 0.138 0.707

(11)
Diffraction record for Sm4YEr7. The powder X-ray diffraction pattern is theoretical, not measured: it uses a structure optimized by DFT (GGA-PBE) and CuKα.
Kinematic intensities with the Lorentz-polarization factor, no thermal factor.

The 8 most intense peaks (10° ≤ 2θ ≤ 90°), by angle:
2θ/deg	I_rel
30.6	36
31.2	39
31.8	100
32.1	52
32.3	34
32.7	19
43.6	16
57.1	19

Atomic structure:
a = 6.526 Å, b = 6.804 Å, c = 9.001 Å
α = 85.02°, β = 77.16°, γ = 81.56°
Sites, in units of the cell vectors:
Sm1 0.137 0.306 0.286
Sm2 0.338 0.884 0.691
Sm3 0.662 0.116 0.309
Sm4 0.863 0.694 0.714
Y1 0.500 0.500 0.000
Er1 0.013 0.252 0.950
Er2 0.183 0.797 0.357
Er3 0.312 0.394 0.616
Er4 0.500 0.000 0.000
Er5 0.688 0.606 0.384
Er6 0.817 0.203 0.643
Er7 0.987 0.748 0.050

(12)
Diffraction record for SmY6Er4. The powder X-ray diffraction pattern is theoretical, not measured: it uses a structure optimized by DFT (GGA-PBE) and CuKα.
Kinematic intensities with the Lorentz-polarization factor, no thermal factor.

The 8 most intense peaks (10° ≤ 2θ ≤ 90°), by angle:
2θ/deg	I_rel
30.5	97
31.6	52
31.9	100
33.4	47
44.5	26
56.0	15
56.5	19
60.2	14

Atomic structure:
a = 5.615 Å, b = 5.615 Å, c = 25.726 Å
α = 90.00°, β = 90.00°, γ = 119.47°
Sites, in units of the cell vectors:
Sm1 0.174 0.826 0.750
Sm2 0.826 0.174 0.250
Y1 0.157 0.843 0.181
Y2 0.157 0.843 0.319
Y3 0.176 0.824 0.602
Y4 0.176 0.824 0.898
Y5 0.492 0.508 0.250
Y6 0.500 0.500 0.000
Y7 0.500 0.500 0.500
Y8 0.508 0.492 0.750
Y9 0.824 0.176 0.102
Y10 0.824 0.176 0.398
Y11 0.843 0.157 0.681
Y12 0.843 0.157 0.819
Er1 0.163 0.837 0.042
Er2 0.163 0.837 0.458
Er3 0.488 0.512 0.121
Er4 0.488 0.512 0.379
Er5 0.512 0.488 0.621
Er6 0.512 0.488 0.879
Er7 0.837 0.163 0.542
Er8 0.837 0.163 0.958